1.
Starting from a DFT-relaxed cell (GGA-PBE, Alexandria), the powder diffraction line list of Dy5Y2TmSc was calculated for Cu Kα X-rays.
Peak positions follow from Bragg's law for the DFT cell and can differ from measured ones.

Top 10 peaks for 2θ = 15–90°, low angle first:
2θ (°)	intensity
27.2	19
28.3	16
30.9	33
32.4	43
32.7	100
34.7	12
36.7	10
52.1	10
58.0	20
62.8	12

Structural model:
Cell lengths 10.300, 10.300, 10.345 Å; angles 90.00, 90.00, 148.90 degrees
Fractional coordinates of all 18 atoms:
1 Dy 0.017 0.983 0.500
2 Dy 0.123 0.877 0.780
3 Dy 0.200 0.800 0.464
4 Dy 0.224 0.776 0.079
5 Dy 0.482 0.518 0.776
6 Dy 0.518 0.482 0.276
7 Dy 0.776 0.224 0.579
8 Dy 0.800 0.200 0.964
9 Dy 0.877 0.123 0.280
10 Dy 0.983 0.017 0.000
11 Y 0.386 0.614 0.496
12 Y 0.389 0.611 0.071
13 Y 0.611 0.389 0.571
14 Y 0.614 0.386 0.996
15 Tm 0.092 0.908 0.218
16 Tm 0.908 0.092 0.718
17 Sc 0.304 0.696 0.774
18 Sc 0.696 0.304 0.274

2.
Starting from a DFT-relaxed cell (GGA-PBE, Alexandria), the powder diffraction line list of Dy2YTm4Sc was calculated for Cu Kα X-rays.
Peak positions follow from Bragg's law for the DFT cell and can differ from measured ones.

Top 10 peaks for 2θ = 15–90°, low angle first:
2θ (°)	intensity
20.1	8
31.4	100
36.5	50
52.5	35
62.5	42
65.6	12
77.4	4
86.0	17
88.8	11
88.9	5

Structural model:
Cell lengths 4.930, 4.930, 9.842 Å; angles 90.00, 90.00, 90.00 degrees
Fractional coordinates of all 8 atoms:
1 Dy 0.000 0.000 0.000
2 Dy 0.500 0.500 0.500
3 Y 0.000 0.000 0.500
4 Tm 0.000 0.500 0.244
5 Tm 0.000 0.500 0.756
6 Tm 0.500 0.000 0.244
7 Tm 0.500 0.000 0.756
8 Sc 0.500 0.500 0.000